No. 1
Starting from the GGA-PBE geometry in the Materials Project, the powder X-ray diffraction pattern of Ca11Ir2N10 was simulated for Cu Kα X-rays.

Structure:
a = 14.931 Å, b = 14.931 Å, c = 3.720 Å
α = 90.00°, β = 90.00°, γ = 90.00°
Space group P4_2/mnm (No. 136)
Symmetry-distinct sites (fractional):
Ca: 0.000 0.000 0.000 (multiplicity 2)
Ca: 0.025 0.215 0.500 (multiplicity 8)
Ca: 0.108 0.612 0.500 (multiplicity 8)
Ca: 0.200 0.800 0.000 (multiplicity 4)
Ir: 0.196 0.196 0.000 (multiplicity 4)
N: 0.034 0.686 0.000 (multiplicity 8)
N: 0.074 0.926 0.500 (multiplicity 4)
N: 0.110 0.110 0.000 (multiplicity 4)
N: 0.133 0.867 0.500 (multiplicity 4)

Top 12 peaks for 2θ = 10–80°, in order of rising 2θ:
(2 0 0), 11.85 deg, rel. 77
(2 1 0), 13.26 deg, rel. 63
(4 1 0), 24.59 deg, rel. 35
(1 1 1), 25.36 deg, rel. 66
(3 0 1), 29.99 deg, rel. 30
(5 1 0), 30.53 deg, rel. 30
(3 2 1), 32.35 deg, rel. 100
(5 3 0), 35.07 deg, rel. 48
(4 2 1), 36.14 deg, rel. 19
(5 0 1), 38.67 deg, rel. 20
(5 2 1), 40.58 deg, rel. 36
(7 2 1), 50.84 deg, rel. 24

No. 2
Starting from the GGA-PBE geometry in the Materials Project, the powder X-ray diffraction pattern of Ca5Ir2N6 was simulated for Cu Kα X-rays.

Structure:
a = 10.059 Å, b = 6.727 Å, c = 12.461 Å
α = 90.00°, β = 103.94°, γ = 90.00°
Space group C2/c (No. 15)
Symmetry-distinct sites (fractional):
Ca: 0.000 0.126 0.250 (multiplicity 4)
Ca: 0.060 0.243 0.001 (multiplicity 8)
Ca: 0.162 0.377 0.724 (multiplicity 8)
Ir: 0.232 0.434 0.447 (multiplicity 8)
N: 0.044 0.460 0.373 (multiplicity 8)
N: 0.134 0.039 0.640 (multiplicity 8)
N: 0.209 0.006 0.405 (multiplicity 8)

Top 12 peaks for 2θ = 10–80°, in order of rising 2θ:
(0 0 2), 14.65 deg, rel. 100
(1 1 -1), 16.67 deg, rel. 39
(2 0 0), 18.17 deg, rel. 83
(1 1 -2), 20.21 deg, rel. 41
(2 0 -2), 20.44 deg, rel. 49
(1 1 2), 23.21 deg, rel. 51
(1 1 -4), 31.72 deg, rel. 55
(2 2 0), 32.32 deg, rel. 45
(2 2 -2), 33.70 deg, rel. 69
(0 2 3), 34.73 deg, rel. 49
(1 1 4), 35.72 deg, rel. 39
(1 3 -1), 41.59 deg, rel. 48

No. 3
Starting from the GGA-PBE geometry in the Materials Project, the powder X-ray diffraction pattern of NaCa3IrO6 was simulated for Cu Kα X-rays.

Structure:
a = 9.3273 Å, b = 9.3273 Å, c = 11.2730 Å
α = 90.00°, β = 90.00°, γ = 120.00°
Space group R-3c (No. 167, hexagonal axes)
Symmetry-distinct sites (fractional):
Na: 0.0000 0.0000 0.2500 (multiplicity 6)
Ca: 0.0000 0.3545 0.2500 (multiplicity 18)
Ir: 0.0000 0.0000 0.0000 (multiplicity 6)
O: 0.0325 0.1911 0.3996 (multiplicity 36)

Top 12 peaks for 2θ = 10–80°, in order of rising 2θ:
(1 1 0), 19.03 deg, rel. 70
(0 1 2), 19.20 deg, rel. 100
(2 0 2), 27.16 deg, rel. 31
(3 0 0), 33.28 deg, rel. 63
(1 2 2), 33.38 deg, rel. 25
(1 0 4), 33.68 deg, rel. 16
(0 2 4), 38.97 deg, rel. 24
(3 1 2), 43.47 deg, rel. 29
(2 1 4), 43.71 deg, rel. 43
(4 1 0), 51.89 deg, rel. 20
(1 1 6), 52.51 deg, rel. 19
(3 2 4), 59.72 deg, rel. 18

No. 4
Starting from the GGA-PBE geometry in the Materials Project, the powder X-ray diffraction pattern of Ca4IrO6 was simulated for Cu Kα X-rays.

Structure:
a = 9.4279 Å, b = 9.4279 Å, c = 11.2526 Å
α = 90.00°, β = 90.00°, γ = 120.00°
Space group R-3c (No. 167, hexagonal axes)
Symmetry-distinct sites (fractional):
Ca: 0.0000 0.0000 0.2500 (multiplicity 6)
Ca: 0.0000 0.3603 0.2500 (multiplicity 18)
Ir: 0.0000 0.0000 0.0000 (multiplicity 6)
O: 0.0330 0.1923 0.3957 (multiplicity 36)

Top 12 peaks for 2θ = 10–80°, in order of rising 2θ:
(1 1 0), 18.82 deg, rel. 100
(0 1 2), 19.16 deg, rel. 88
(2 0 2), 26.98 deg, rel. 25
(3 0 0), 32.91 deg, rel. 78
(1 2 2), 33.11 deg, rel. 21
(1 0 4), 33.70 deg, rel. 21
(0 2 4), 38.88 deg, rel. 33
(3 1 2), 43.06 deg, rel. 30
(2 1 4), 43.53 deg, rel. 55
(4 1 0), 51.28 deg, rel. 19
(1 3 4), 51.83 deg, rel. 20
(3 2 4), 59.27 deg, rel. 24

No. 5
Starting from the GGA-PBE geometry in the Materials Project, the powder X-ray diffraction pattern of Ca2IrO4 was simulated for Cu Kα X-rays.

Structure:
a = 9.5965 Å, b = 9.5965 Å, c = 3.2634 Å
α = 90.00°, β = 90.00°, γ = 120.00°
Space group P-62m (No. 189)
Symmetry-distinct sites (fractional):
Ca: 0.0000 0.0000 0.0000 (multiplicity 1)
Ca: 0.0000 0.6817 0.5000 (multiplicity 3)
Ca: 0.3333 0.6667 0.5000 (multiplicity 2)
Ir: 0.0000 0.3188 0.0000 (multiplicity 3)
O: 0.0000 0.1802 0.5000 (multiplicity 3)
O: 0.0000 0.4428 0.5000 (multiplicity 3)
O: 0.1988 0.7543 0.0000 (multiplicity 6)

Top 12 peaks for 2θ = 10–80°, in order of rising 2θ:
(1 1 0), 18.49 deg, rel. 100
(0 0 1), 27.33 deg, rel. 9
(3 0 0), 32.32 deg, rel. 66
(1 1 1), 33.20 deg, rel. 79
(2 2 0), 37.49 deg, rel. 14
(3 0 1), 42.82 deg, rel. 15
(2 2 1), 47.01 deg, rel. 40
(4 1 0), 50.31 deg, rel. 11
(3 3 0), 57.63 deg, rel. 14
(4 1 1), 58.20 deg, rel. 37
(3 0 2), 66.50 deg, rel. 17
(5 2 1), 77.45 deg, rel. 12

No. 6
Starting from the GGA-PBE geometry in the Materials Project, the powder X-ray diffraction pattern of Ca2IrPtO6 was simulated for Cu Kα X-rays.

Structure:
a = 9.925 Å, b = 3.207 Å, c = 7.414 Å
α = 90.00°, β = 90.22°, γ = 90.00°
Space group C2/m (No. 12)
Symmetry-distinct sites (fractional):
Ca: 0.249 0.000 0.246 (multiplicity 4)
Ir: 0.000 0.500 0.000 (multiplicity 2)
Pt: 0.000 0.500 0.500 (multiplicity 2)
O: 0.081 0.500 0.247 (multiplicity 4)
O: 0.125 0.000 0.950 (multiplicity 4)
O: 0.129 0.000 0.545 (multiplicity 4)

Top 12 peaks for 2θ = 10–80°, in order of rising 2θ:
(2 0 0), 17.87 deg, rel. 100
(0 0 2), 24.01 deg, rel. 53
(1 1 0), 29.26 deg, rel. 85
(2 0 -2), 30.03 deg, rel. 60
(2 0 2), 30.15 deg, rel. 60
(4 0 0), 36.20 deg, rel. 27
(1 1 2), 38.20 deg, rel. 64
(3 1 0), 39.12 deg, rel. 55
(3 1 -2), 46.36 deg, rel. 33
(3 1 2), 46.48 deg, rel. 31
(1 1 -4), 58.24 deg, rel. 29
(2 2 2), 66.23 deg, rel. 25

No. 7
Starting from the GGA-PBE geometry in the Materials Project, the powder X-ray diffraction pattern of Ca2SnIrO6 was simulated for Cu Kα X-rays.

Structure:
a = 5.505 Å, b = 5.699 Å, c = 9.588 Å
α = 90.00°, β = 124.56°, γ = 90.00°
Space group P2_1/c (No. 14)
Symmetry-distinct sites (fractional):
Ca: 0.235 0.058 0.250 (multiplicity 4)
Sn: 0.500 0.000 0.000 (multiplicity 2)
Ir: 0.000 0.000 0.500 (multiplicity 2)
O: 0.135 0.201 0.945 (multiplicity 4)
O: 0.247 0.696 0.946 (multiplicity 4)
O: 0.351 0.038 0.746 (multiplicity 4)

Top 12 peaks for 2θ = 10–80°, in order of rising 2θ:
(1 1 -1), 22.48 deg, rel. 100
(0 2 0), 31.39 deg, rel. 29
(1 1 1), 31.92 deg, rel. 59
(1 1 -3), 32.11 deg, rel. 58
(2 0 -2), 32.53 deg, rel. 27
(2 2 -2), 45.84 deg, rel. 29
(0 0 4), 45.98 deg, rel. 16
(2 2 0), 51.56 deg, rel. 17
(2 2 -4), 51.83 deg, rel. 17
(0 2 4), 56.73 deg, rel. 14
(3 1 -1), 57.53 deg, rel. 14
(3 1 -5), 57.90 deg, rel. 14

No. 8
Starting from the GGA-PBE geometry in the Materials Project, the powder X-ray diffraction pattern of Sr2Ca2IrO6 was simulated for Cu Kα X-rays.

Structure:
a = 9.523 Å, b = 9.693 Å, c = 6.756 Å
α = 90.00°, β = 92.23°, γ = 90.00°
Space group C2 (No. 5)
Symmetry-distinct sites (fractional):
Sr: 0.000 0.000 0.000 (multiplicity 2)
Sr: 0.000 0.229 0.500 (multiplicity 2)
Sr: 0.181 0.547 0.637 (multiplicity 4)
Ca: 0.000 0.366 0.000 (multiplicity 2)
Ca: 0.000 0.863 0.500 (multiplicity 2)
Ca: 0.179 0.685 0.139 (multiplicity 4)
Ir: 0.248 0.864 0.751 (multiplicity 4)
O: 0.065 0.758 0.807 (multiplicity 4)
O: 0.070 0.473 0.297 (multiplicity 4)
O: 0.134 0.036 0.673 (multiplicity 4)
O: 0.134 0.195 0.167 (multiplicity 4)
O: 0.233 0.798 0.457 (multiplicity 4)
O: 0.236 0.427 0.961 (multiplicity 4)

Top 12 peaks for 2θ = 10–80°, in order of rising 2θ:
(0 2 0), 18.28 deg, rel. 52
(2 0 0), 18.65 deg, rel. 20
(1 1 1), 18.79 deg, rel. 60
(3 1 0), 29.63 deg, rel. 13
(2 2 1), 29.78 deg, rel. 14
(1 1 2), 29.88 deg, rel. 12
(2 0 -2), 31.94 deg, rel. 100
(2 2 2), 38.11 deg, rel. 20
(2 4 0), 41.83 deg, rel. 12
(4 2 0), 42.32 deg, rel. 15
(3 3 1), 42.47 deg, rel. 16
(1 1 3), 42.68 deg, rel. 13

No. 9
Starting from the GGA-PBE geometry in the Materials Project, the powder X-ray diffraction pattern of Sr2CaIrO6 was simulated for Cu Kα X-rays.

Structure:
a = 5.801 Å, b = 5.939 Å, c = 10.067 Å
α = 90.00°, β = 124.84°, γ = 90.00°
Space group P2_1/c (No. 14)
Symmetry-distinct sites (fractional):
Sr: 0.240 0.047 0.251 (multiplicity 4)
Ca: 0.500 0.000 0.000 (multiplicity 2)
Ir: 0.000 0.000 0.500 (multiplicity 2)
O: 0.137 0.230 0.952 (multiplicity 4)
O: 0.231 0.689 0.959 (multiplicity 4)
O: 0.311 0.027 0.729 (multiplicity 4)

Top 12 peaks for 2θ = 10–80°, in order of rising 2θ:
(0 1 1), 18.40 deg, rel. 62
(1 0 0), 18.64 deg, rel. 35
(1 0 -2), 18.74 deg, rel. 25
(0 2 0), 30.10 deg, rel. 47
(1 1 1), 30.46 deg, rel. 100
(1 1 -3), 30.60 deg, rel. 99
(2 0 -2), 30.83 deg, rel. 48
(2 2 -2), 43.62 deg, rel. 52
(0 0 4), 43.83 deg, rel. 29
(1 3 -3), 53.72 deg, rel. 32
(3 1 -1), 54.51 deg, rel. 22
(3 1 -5), 54.75 deg, rel. 34

No. 10
Starting from the GGA-PBE geometry in the Materials Project, the powder X-ray diffraction pattern of SrCa3IrO6 was simulated for Cu Kα X-rays.

Structure:
a = 9.307 Å, b = 9.592 Å, c = 6.722 Å
α = 90.00°, β = 91.25°, γ = 90.00°
Space group C2 (No. 5)
Symmetry-distinct sites (fractional):
Sr: 0.184 0.000 0.136 (multiplicity 4)
Ca: 0.000 0.183 0.500 (multiplicity 2)
Ca: 0.000 0.323 0.000 (multiplicity 2)
Ca: 0.000 0.542 0.500 (multiplicity 2)
Ca: 0.000 0.681 0.000 (multiplicity 2)
Ca: 0.180 0.861 0.639 (multiplicity 4)
Ir: 0.248 0.683 0.252 (multiplicity 4)
O: 0.061 0.788 0.308 (multiplicity 4)
O: 0.068 0.074 0.798 (multiplicity 4)
O: 0.127 0.509 0.179 (multiplicity 4)
O: 0.128 0.353 0.673 (multiplicity 4)
O: 0.240 0.751 0.959 (multiplicity 4)
O: 0.244 0.120 0.460 (multiplicity 4)

Top 12 peaks for 2θ = 10–80°, in order of rising 2θ:
(1 1 -1), 18.56 deg, rel. 100
(1 1 1), 18.88 deg, rel. 65
(2 0 0), 19.08 deg, rel. 47
(1 3 -1), 32.38 deg, rel. 81
(2 0 -2), 32.54 deg, rel. 59
(3 1 1), 33.41 deg, rel. 18
(2 2 2), 38.30 deg, rel. 31
(1 1 -3), 42.38 deg, rel. 24
(1 1 3), 42.78 deg, rel. 25
(3 3 1), 43.00 deg, rel. 19
(4 2 0), 43.23 deg, rel. 21
(2 4 1), 44.69 deg, rel. 21